For NaNi, a cell relaxed with GGA-PBE gives the calculated powder XRD pattern in this record (Cu Kα X-rays).
Peak positions follow from Bragg's law for the DFT cell and can differ from measured ones.

Principal peaks in the range 2θ from 5° to 70°, by angle:
(1 0 0), 10.610 Å, 2θ = 8.33°, I 100.0; (1 1 0), 7.502 Å, 2θ = 11.80°, I 20.8; (2 0 0), 5.305 Å, 2θ = 16.71°, I 22.7; (4 1 0), 2.573 Å, 2θ = 34.87°, I 16.5; (4 2 0), 2.372 Å, 2θ = 37.93°, I 21.7; (2 0 1), 2.349 Å, 2θ = 38.33°, I 13.4; (2 2 1), 2.147 Å, 2θ = 42.08°, I 11.1; (4 4 0), 1.876 Å, 2θ = 48.54°, I 10.2; (4 0 1), 1.864 Å, 2θ = 48.87°, I 14.7; (5 0 1), 1.649 Å, 2θ = 55.75°, I 10.1

Lattice parameters (Å, degrees): 10.610 10.610 2.619 90.00 90.00 90.00
Space group P4/mmm (No. 123)
Unique sites:
Na (0.000, 0.227, 0.000) [4 per cell]
Na (0.163, 0.500, 0.500) [4 per cell]
Ni (0.257, 0.257, 0.500) [4 per cell]
Ni (0.390, 0.390, 0.000) [4 per cell]